Calculated powder XRD pattern
Compound: BaNb2CrP
Radiation: Cu Ka
Structure: the GGA-PBE geometry in Alexandria

Structure:
abc: 4.8395 4.8395 4.8589
angles: 90.00 90.00 90.00
Positions (direct):
Ba  0.0000  0.0000  0.0000
Nb  0.0000  0.5000  0.5000
Nb  0.5000  0.0000  0.5000
Cr  0.5000  0.5000  0.0000
P  0.5000  0.5000  0.5000

Most intense lines, 2θ from 5° to 70°, by angle:
2theta, I/Imax, h k l
18.3, 4.3, 1 0 0
26.0, 17.2, 1 0 1
32.0, 100.0, 1 1 1
37.0, 23.1, 0 0 2
37.2, 45.7, 2 0 0
45.9, 7.3, 2 1 1
53.4, 30.9, 2 0 2
53.6, 15.3, 2 2 0
60.5, 1.7, 3 0 1
63.6, 13.2, 1 1 3
63.8, 26.1, 3 1 1
66.9, 15.5, 2 2 2

Calculated powder XRD pattern
Compound: BaNbCrS2
Radiation: Cu Ka
Structure: the GGA-PBE geometry in Alexandria

Structure:
abc: 4.8108 4.8108 5.3723
angles: 90.00 90.00 90.00
Positions (direct):
Ba  0.0000  0.0000  0.0000
Nb  0.5000  0.5000  0.0000
Cr  0.0000  0.0000  0.5000
S  0.0000  0.5000  0.5000
S  0.5000  0.0000  0.5000

Most intense lines, 2θ from 5° to 70°, by angle:
2theta, I/Imax, h k l
16.5, 20.1, 0 0 1
18.4, 25.4, 1 0 0
26.2, 61.7, 1 1 0
31.1, 100.0, 1 1 1
33.4, 43.6, 0 0 2
37.4, 62.9, 2 0 0
42.9, 33.1, 1 1 2
51.0, 50.8, 2 0 2
53.9, 20.7, 2 2 0
58.2, 16.1, 1 1 3
63.6, 24.7, 3 1 1
64.9, 26.1, 2 2 2